Entry 1:
Diffraction record for Tb4Dy. The powder X-ray diffraction pattern is computed, not measured: it uses a DFT-relaxed cell (PBE, Alexandria) and copper Kα.
Intensities are scaled so that the largest is 100.

Atomic structure:
Lattice parameters (Å, degrees): 3.5492 3.5492 14.5988 96.90 96.90 60.02
Sites, in units of the cell vectors:
1 Tb 0.1001 0.1001 0.3005
2 Tb 0.2996 0.2996 0.8998
3 Tb 0.7004 0.7004 0.1002
4 Tb 0.8999 0.8999 0.6995
5 Dy 0.5000 0.5000 0.5000

The 8 most intense peaks (5° ≤ 2θ ≤ 70°), in order of falling intensity:
Position (°2θ), I (rel.)
30.88, 100
35.80, 51
61.27, 32
51.50, 24
51.60, 12
61.36, 11
64.30, 9
64.45, 3


Entry 2:
Diffraction record for Tb7Dy. The powder X-ray diffraction pattern is computed, not measured: it uses a DFT-relaxed cell (PBE, Alexandria) and copper Kα.
Intensities are scaled so that the largest is 100.

Atomic structure:
Lattice parameters (Å, degrees): 7.0954 7.0954 7.0954 60.00 60.00 60.00
Sites, in units of the cell vectors:
1 Tb 0.0000 0.0000 0.0000
2 Tb 0.0000 0.0000 0.5000
3 Tb 0.0000 0.5000 0.0000
4 Tb 0.0000 0.5000 0.5000
5 Tb 0.5000 0.0000 0.0000
6 Tb 0.5000 0.0000 0.5000
7 Tb 0.5000 0.5000 0.0000
8 Dy 0.5000 0.5000 0.5000

The 5 most intense peaks (5° ≤ 2θ ≤ 70°), in order of falling intensity:
Position (°2θ), I (rel.)
30.87, 100
35.79, 51
61.28, 43
51.52, 36
64.32, 12


Entry 3:
Diffraction record for TbDy7. The powder X-ray diffraction pattern is computed, not measured: it uses a DFT-relaxed cell (PBE, Alexandria) and copper Kα.
Intensities are scaled so that the largest is 100.

Atomic structure:
Lattice parameters (Å, degrees): 8.7018 8.7018 8.7018 156.73 101.01 83.71
Sites, in units of the cell vectors:
1 Tb 0.0000 0.0000 0.0000
2 Dy 0.1362 0.3675 0.7687
3 Dy 0.2412 0.7412 0.5000
4 Dy 0.4012 0.6325 0.7687
5 Dy 0.5000 0.0000 0.5000
6 Dy 0.5988 0.3675 0.2313
7 Dy 0.7588 0.2588 0.5000
8 Dy 0.8638 0.6325 0.2313

The 10 most intense peaks (5° ≤ 2θ ≤ 70°), in order of falling intensity:
Position (°2θ), I (rel.)
32.00, 100
30.95, 73
32.87, 47
32.35, 46
46.79, 31
56.81, 31
62.47, 31
58.80, 24
57.48, 15
35.29, 15


Entry 4:
Diffraction record for TbDy4. The powder X-ray diffraction pattern is computed, not measured: it uses a DFT-relaxed cell (PBE, Alexandria) and copper Kα.
Intensities are scaled so that the largest is 100.

Atomic structure:
Lattice parameters (Å, degrees): 3.5382 3.5382 14.5477 96.89 96.89 60.05
Sites, in units of the cell vectors:
1 Tb 0.0000 0.0000 0.0000
2 Dy 0.2002 0.2002 0.5999
3 Dy 0.4000 0.4000 0.2005
4 Dy 0.6000 0.6000 0.7995
5 Dy 0.7998 0.7998 0.4001

The 8 most intense peaks (5° ≤ 2θ ≤ 70°), in order of falling intensity:
Position (°2θ), I (rel.)
30.98, 100
35.92, 51
61.46, 25
51.67, 24
61.57, 18
51.78, 12
64.52, 9
64.70, 3


Entry 5:
Diffraction record for Tb2Dy7. The powder X-ray diffraction pattern is computed, not measured: it uses a DFT-relaxed cell (PBE, Alexandria) and copper Kα.
Intensities are scaled so that the largest is 100.

Atomic structure:
Lattice parameters (Å, degrees): 6.1283 6.1283 8.6570 90.00 90.00 120.00
Sites, in units of the cell vectors:
1 Tb 0.3333 0.6667 0.0000
2 Tb 0.6667 0.3333 0.0000
3 Dy 0.0000 0.0000 0.0000
4 Dy 0.0000 0.3331 0.6663
5 Dy 0.0000 0.6669 0.3337
6 Dy 0.3331 0.0000 0.6663
7 Dy 0.3331 0.3331 0.3337
8 Dy 0.6669 0.0000 0.3337
9 Dy 0.6669 0.6669 0.6663

The 5 most intense peaks (5° ≤ 2θ ≤ 70°), in order of falling intensity:
Position (°2θ), I (rel.)
30.97, 100
35.91, 51
61.49, 43
51.69, 36
64.54, 12


Entry 6:
Diffraction record for Tb2Dy5. The powder X-ray diffraction pattern is computed, not measured: it uses a DFT-relaxed cell (PBE, Alexandria) and copper Kα.
Intensities are scaled so that the largest is 100.

Atomic structure:
Lattice parameters (Å, degrees): 8.4215 8.4215 9.1692 95.49 95.49 43.63
Sites, in units of the cell vectors:
1 Tb 0.0953 0.7616 0.8928
2 Tb 0.2384 0.9047 0.6072
3 Tb 0.7616 0.0953 0.3928
4 Tb 0.9047 0.2384 0.1072
5 Dy 0.0475 0.3810 0.8215
6 Dy 0.1906 0.5232 0.5356
7 Dy 0.3337 0.6663 0.2500
8 Dy 0.3810 0.0475 0.3215
9 Dy 0.4768 0.8094 0.9644
10 Dy 0.5232 0.1906 0.0356
11 Dy 0.6190 0.9525 0.6785
12 Dy 0.6663 0.3337 0.7500
13 Dy 0.8094 0.4768 0.4644
14 Dy 0.9525 0.6190 0.1785

The 10 most intense peaks (5° ≤ 2θ ≤ 70°), in order of falling intensity:
Position (°2θ), I (rel.)
32.73, 100
31.74, 24
28.52, 24
60.90, 23
57.18, 21
50.51, 20
61.50, 16
43.19, 16
68.60, 4
59.03, 3


Entry 7:
Diffraction record for TbDy5. The powder X-ray diffraction pattern is computed, not measured: it uses a DFT-relaxed cell (PBE, Alexandria) and copper Kα.
Intensities are scaled so that the largest is 100.

Atomic structure:
Lattice parameters (Å, degrees): 6.1265 10.5975 6.1275 90.00 109.38 90.00
Sites, in units of the cell vectors:
1 Tb 0.2504 0.2500 0.0005
2 Tb 0.7496 0.7500 0.9995
3 Dy 0.2501 0.0832 0.5003
4 Dy 0.2501 0.4168 0.5003
5 Dy 0.2498 0.5833 0.9999
6 Dy 0.2496 0.7500 0.4997
7 Dy 0.2498 0.9167 0.9999
8 Dy 0.7502 0.0833 0.0001
9 Dy 0.7504 0.2500 0.5003
10 Dy 0.7502 0.4167 0.0001
11 Dy 0.7499 0.5832 0.4997
12 Dy 0.7499 0.9168 0.4997

The 7 most intense peaks (5° ≤ 2θ ≤ 70°), in order of falling intensity:
Position (°2θ), I (rel.)
30.97, 100
35.91, 51
61.49, 43
51.68, 30
64.49, 6
64.61, 6
51.76, 6


Entry 8:
Diffraction record for Tb4Dy5. The powder X-ray diffraction pattern is computed, not measured: it uses a DFT-relaxed cell (PBE, Alexandria) and copper Kα.
Intensities are scaled so that the largest is 100.

Atomic structure:
Lattice parameters (Å, degrees): 9.0606 9.0606 9.0606 157.03 96.49 88.06
Sites, in units of the cell vectors:
1 Tb 0.0460 0.1897 0.8563
2 Tb 0.3333 0.1897 0.1437
3 Tb 0.6667 0.8103 0.8563
4 Tb 0.9540 0.8103 0.1437
5 Dy 0.0000 0.5000 0.5000
6 Dy 0.2932 0.5000 0.7932
7 Dy 0.3742 0.8742 0.5000
8 Dy 0.6258 0.1258 0.5000
9 Dy 0.7068 0.5000 0.2068

The 10 most intense peaks (5° ≤ 2θ ≤ 70°), in order of falling intensity:
Position (°2θ), I (rel.)
32.26, 100
30.29, 94
33.36, 92
52.91, 34
32.71, 30
60.11, 27
35.24, 21
29.25, 20
54.33, 19
63.13, 19